Theoretical powder X-ray diffraction pattern of Ba2NpCdS6 for λ = 1.5418 Å (Cu Kα), from a GGA-PBE-relaxed structure.

```
data_Ba2NpCdS6
_chemical_formula_sum 'Ba4 Np2 Cd2 S12'
_symmetry_space_group_name_H-M 'P 1 21/c 1'
_symmetry_Int_Tables_number 14
_cell_length_a 7.1251
_cell_length_b 7.3793
_cell_length_c 12.3868
_cell_angle_alpha 90.00
_cell_angle_beta 124.72
_cell_angle_gamma 90.00
loop_
_symmetry_equiv_pos_as_xyz
'x,y,z'
'-x,-y,-z'
'-x,y+1/2,-z+1/2'
'x,-y+1/2,z+1/2'
loop_
_atom_site_label
_atom_site_fract_x
_atom_site_fract_y
_atom_site_fract_z
_atom_site_occupancy
Ba1 0.2314 0.0630 0.2478 1
Np1 0.5000 0.0000 0.0000 1
Cd1 0.0000 0.0000 0.5000 1
S1 0.1737 0.1954 0.9614 1
S2 0.2675 0.7136 0.9611 1
S3 0.3330 0.0110 0.7567 1
```

Peak list (6 most intense, 15 to 90 degrees two-theta, by angle)
- hkl 0 2 0, 24.1 deg, d = 3.690 Å, rel. 46
- hkl 1 1 1, 24.6 deg, d = 3.621 Å, rel. 100
- hkl 1 1 -3, 24.7 deg, d = 3.603 Å, rel. 100
- hkl 2 0 -2, 25.0 deg, d = 3.562 Å, rel. 51
- hkl 2 2 -2, 35.0 deg, d = 2.563 Å, rel. 65
- hkl 2 0 -6, 43.9 deg, d = 2.062 Å, rel. 42